Diffraction record for RbDyAs. The XRD peak list is simulated, not measured: it uses a PBE-relaxed structure and a wavelength of 1.5418 Å.
Lines closer than 0.1° are merged.

Structure:
```
data_RbDyAs
_chemical_formula_sum 'Rb4 Dy4 As4'
_cell_length_a 7.322
_cell_length_b 7.322
_cell_length_c 7.322
_cell_angle_alpha 90.00
_cell_angle_beta 90.00
_cell_angle_gamma 90.00
_symmetry_space_group_name_H-M 'F -4 3 m'
_symmetry_Int_Tables_number 216
_symmetry_space_group_name_Hall 'F -4 2 3'
loop_
_atom_site_label
_atom_site_fract_x
_atom_site_fract_y
_atom_site_fract_z
Rb1 0.000 0.000 0.000
Dy1 0.000 0.000 0.500
As1 0.250 0.250 0.750
```

The 6 most intense peaks (2θ from 15° to 90°), sorted by position:
2θ (°)  I_rel
21.02  26
24.31  34
34.65  100
49.82  18
62.11  36
83.51  16